This entry pairs a crystal structure of KLiP2S6 with its calculated powder diffraction line list. Radiation: Cu Kα, 1.54184 Å. Structure: a structure optimized by DFT (PBE).
Neutral-atom scattering factors, no anomalous dispersion.

Main lines, by angle (15 to 90 degrees two-theta):
two_theta	I/Imax	index
18.60	197	2 2 0
19.24	395	1 1 1
19.52	341	0 2 1
22.31	1000	2 2 -1
26.07	158	2 2 1
28.57	342	0 4 1
28.75	156	4 0 0
30.86	177	1 5 0
31.13	501	1 1 -2
33.49	471	2 4 1
34.80	157	3 1 -2
39.60	153	0 6 1

Crystal structure
```
data_KLiP2S6
_symmetry_space_group_name_H-M 'C 1 2/c 1'
_symmetry_Int_Tables_number 15
_symmetry_space_group_name_Hall '-C 2yc'
_cell_length_a 12.678
_cell_length_b 14.897
_cell_length_c 5.860
_cell_angle_alpha 90.00
_cell_angle_beta 101.59
_cell_angle_gamma 90.00
loop_
_atom_site_label
_atom_site_type_symbol
_atom_site_fract_x
_atom_site_fract_y
_atom_site_fract_z
K1 K 0.000 0.131 0.250
Li1 Li 0.000 0.412 0.750
P1 P 0.212 0.425 0.148
S1 S 0.125 0.319 0.024
S2 S 0.130 0.080 0.790
S3 S 0.144 0.457 0.453
```

---

This entry pairs a crystal structure of Al2Ga2Fe with its calculated powder diffraction line list. Radiation: Cu Kα, 1.54184 Å. Structure: a structure optimized by DFT (PBE).
Neutral-atom scattering factors, no anomalous dispersion.

Main lines, by angle (15 to 90 degrees two-theta):
two_theta	I/Imax	index
23.59	434	0 0 1
30.77	195	2 1 0
36.51	62	2 0 1
39.14	1000	2 1 1
44.08	403	3 1 0
48.27	181	0 0 2
50.60	271	3 1 1
56.64	86	4 0 0
64.07	121	4 2 0
67.41	213	3 1 2
83.86	97	2 1 3
84.29	172	4 4 0

Crystal structure
```
data_Al2Ga2Fe
_symmetry_space_group_name_H-M 'P 4/m b m'
_symmetry_Int_Tables_number 127
_symmetry_space_group_name_Hall '-P 4 2ab'
_cell_length_a 6.497
_cell_length_b 6.497
_cell_length_c 3.771
_cell_angle_alpha 90.00
_cell_angle_beta 90.00
_cell_angle_gamma 90.00
loop_
_atom_site_label
_atom_site_type_symbol
_atom_site_fract_x
_atom_site_fract_y
_atom_site_fract_z
Al1 Al 0.165 0.335 0.000
Ga1 Ga 0.144 0.644 0.500
Fe1 Fe 0.000 0.000 0.500
```

---

This entry pairs a crystal structure of NaLiIrO4 with its calculated powder diffraction line list. Radiation: Cu Kα, 1.54184 Å. Structure: a structure optimized by DFT (PBE).
Neutral-atom scattering factors, no anomalous dispersion.

Main lines, by angle (15 to 90 degrees two-theta):
two_theta	I/Imax	index
20.14	1000	1 0 1
23.30	771	0 0 2
33.19	594	1 1 2
39.13	433	2 1 1
40.95	197	2 0 2
47.61	103	2 2 0
52.23	210	1 2 3
53.69	322	3 1 0
59.30	280	2 0 4
63.26	149	3 2 1
73.33	112	1 4 1
74.57	134	1 3 4

Crystal structure
```
data_NaLiIrO4
_symmetry_space_group_name_H-M 'I -4'
_symmetry_Int_Tables_number 82
_symmetry_space_group_name_Hall 'I -4'
_cell_length_a 5.402
_cell_length_b 5.402
_cell_length_c 7.625
_cell_angle_alpha 90.00
_cell_angle_beta 90.00
_cell_angle_gamma 90.00
loop_
_atom_site_label
_atom_site_type_symbol
_atom_site_fract_x
_atom_site_fract_y
_atom_site_fract_z
Na1 Na 0.000 0.000 0.000
Li1 Li 0.000 0.500 0.250
Ir1 Ir 0.000 0.000 0.500
O1 O 0.165 0.742 0.399
```

---

This entry pairs a crystal structure of HF4 with its calculated powder diffraction line list. Radiation: Cu Kα, 1.54184 Å. Structure: a structure optimized by DFT (PBE).
Neutral-atom scattering factors, no anomalous dispersion.

Main lines, by angle (15 to 90 degrees two-theta):
two_theta	I/Imax	index
30.20	99	1 0 0
31.19	1000	0 0 2
33.66	192	1 0 -1
34.52	166	1 0 1
38.50	358	-1 1 1
38.71	366	1 -1 1
47.68	111	1 1 -1
48.79	109	1 1 1
54.38	116	0 2 0
60.27	66	-1 1 3
60.73	72	1 -1 3
65.04	71	0 0 4

Crystal structure
```
data_HF4
_symmetry_space_group_name_H-M 'P -1'
_symmetry_Int_Tables_number 2
_symmetry_space_group_name_Hall '-P 1'
_cell_length_a 3.051
_cell_length_b 3.478
_cell_length_c 5.739
_cell_angle_alpha 91.04
_cell_angle_beta 91.42
_cell_angle_gamma 103.99
loop_
_atom_site_label
_atom_site_type_symbol
_atom_site_fract_x
_atom_site_fract_y
_atom_site_fract_z
H1 H 0.000 0.000 0.000
F1 F 0.226 0.771 0.000
F2 F 0.398 0.292 0.496
```

---

This entry pairs a crystal structure of AcTlRu with its calculated powder diffraction line list. Radiation: Cu Kα, 1.54184 Å. Structure: a structure optimized by DFT (PBE).
Neutral-atom scattering factors, no anomalous dispersion.

Main lines, by angle (15 to 90 degrees two-theta):
two_theta	I/Imax	index
27.12	227	4 0 0
27.49	625	1 1 1
28.53	415	3 1 0
30.82	1000	3 1 -1
32.82	664	2 0 -2
35.03	578	3 1 1
40.40	604	0 2 0
41.18	279	6 0 -1
52.91	207	0 2 2
53.00	240	2 2 -2
56.24	264	1 1 3
59.05	213	6 2 -1

Crystal structure
```
data_AcTlRu
_symmetry_space_group_name_H-M 'C 1 2/m 1'
_symmetry_Int_Tables_number 12
_symmetry_space_group_name_Hall '-C 2y'
_cell_length_a 13.425
_cell_length_b 4.466
_cell_length_c 5.582
_cell_angle_alpha 90.00
_cell_angle_beta 101.62
_cell_angle_gamma 90.00
loop_
_atom_site_label
_atom_site_type_symbol
_atom_site_fract_x
_atom_site_fract_y
_atom_site_fract_z
Ac1 Ac 0.127 0.000 0.320
Tl1 Tl 0.080 0.500 0.795
Ru1 Ru 0.220 0.000 0.899
```

---

This entry pairs a crystal structure of LiNbSb2Te with its calculated powder diffraction line list. Radiation: Cu Kα, 1.54184 Å. Structure: a structure optimized by DFT (PBE).
Neutral-atom scattering factors, no anomalous dispersion.

Main lines, by angle (15 to 90 degrees two-theta):
two_theta	I/Imax	index
16.32	1000	1 0 0
28.46	576	1 1 1
32.97	846	2 0 0
37.00	511	2 1 0
47.33	606	2 2 0
50.39	260	3 0 0
56.15	253	3 1 1
58.89	208	2 2 2
61.54	112	3 2 0
71.62	142	4 1 0
78.78	265	4 2 0
88.08	205	4 2 2

Crystal structure
```
data_LiNbSb2Te
_symmetry_space_group_name_H-M 'P 4/m m m'
_symmetry_Int_Tables_number 123
_symmetry_space_group_name_Hall '-P 4 2'
_cell_length_a 5.434
_cell_length_b 5.434
_cell_length_c 5.430
_cell_angle_alpha 90.00
_cell_angle_beta 90.00
_cell_angle_gamma 90.00
loop_
_atom_site_label
_atom_site_type_symbol
_atom_site_fract_x
_atom_site_fract_y
_atom_site_fract_z
Li1 Li 0.000 0.000 0.000
Nb1 Nb 0.500 0.500 0.500
Sb1 Sb 0.000 0.500 0.500
Te1 Te 0.500 0.500 0.000
```

---

This entry pairs a crystal structure of LaPr2DyP4 with its calculated powder diffraction line list. Radiation: Cu Kα, 1.54184 Å. Structure: a structure optimized by DFT (PBE).
Neutral-atom scattering factors, no anomalous dispersion.

Main lines, by angle (15 to 90 degrees two-theta):
two_theta	I/Imax	index
26.14	797	2 0 0
30.27	1000	1 1 1
43.34	735	0 2 0
51.32	398	3 1 1
53.78	258	2 2 -2
62.97	120	2 2 2
69.38	161	2 0 4
71.43	220	1 3 1
71.50	110	5 1 -3
79.53	247	3 3 -1
85.42	93	0 0 6
85.52	31	4 0 -6

Crystal structure
```
data_LaPr2DyP4
_symmetry_space_group_name_H-M 'P 1 2/m 1'
_symmetry_Int_Tables_number 10
_symmetry_space_group_name_Hall '-P 2y'
_cell_length_a 7.228
_cell_length_b 4.178
_cell_length_c 7.228
_cell_angle_alpha 90.00
_cell_angle_beta 109.42
_cell_angle_gamma 90.00
loop_
_atom_site_label
_atom_site_type_symbol
_atom_site_fract_x
_atom_site_fract_y
_atom_site_fract_z
La1 La 0.000 0.000 0.000
Pr1 Pr 0.500 0.000 0.500
Pr2 Pr 0.500 0.500 0.000
Dy1 Dy 0.000 0.500 0.500
P1 P 0.243 0.000 0.742
P2 P 0.247 0.500 0.255
```

---

This entry pairs a crystal structure of Cs2GeIr with its calculated powder diffraction line list. Radiation: Cu Kα, 1.54184 Å. Structure: a structure optimized by DFT (PBE).
Neutral-atom scattering factors, no anomalous dispersion.

Main lines, by angle (15 to 90 degrees two-theta):
two_theta	I/Imax	index
18.84	102	1 1 1
31.00	1000	2 2 0
36.52	60	3 1 1
44.41	185	4 0 0
48.64	28	3 3 1
55.15	390	4 2 2
58.81	21	5 1 1
64.62	121	4 4 0
67.97	21	5 3 1
73.39	168	6 2 0
81.78	42	4 4 4
89.99	208	6 4 2

Crystal structure
```
data_Cs2GeIr
_symmetry_space_group_name_H-M 'F m -3 m'
_symmetry_Int_Tables_number 225
_symmetry_space_group_name_Hall '-F 4 2 3'
_cell_length_a 8.159
_cell_length_b 8.159
_cell_length_c 8.159
_cell_angle_alpha 90.00
_cell_angle_beta 90.00
_cell_angle_gamma 90.00
loop_
_atom_site_label
_atom_site_type_symbol
_atom_site_fract_x
_atom_site_fract_y
_atom_site_fract_z
Cs1 Cs 0.250 0.250 0.250
Ge1 Ge 0.000 0.000 0.000
Ir1 Ir 0.000 0.000 0.500
```

---

This entry pairs a crystal structure of PuInBiN with its calculated powder diffraction line list. Radiation: Cu Kα, 1.54184 Å. Structure: a structure optimized by DFT (PBE).
Neutral-atom scattering factors, no anomalous dispersion.

Main lines, by angle (15 to 90 degrees two-theta):
two_theta	I/Imax	index
29.07	313	0 0 6
31.31	1000	1 0 3
37.03	68	1 0 5
39.49	299	1 1 0
49.78	288	1 1 6
52.96	222	1 0 9
57.08	103	2 0 0
65.33	129	2 0 6
66.56	241	2 1 3
74.47	74	1 1 12
81.62	131	2 1 9
85.04	53	2 2 0

Crystal structure
```
data_PuInBiN
_symmetry_space_group_name_H-M 'I 4 m m'
_symmetry_Int_Tables_number 107
_symmetry_space_group_name_Hall 'I 4 -2'
_cell_length_a 3.227
_cell_length_b 3.227
_cell_length_c 18.429
_cell_angle_alpha 90.00
_cell_angle_beta 90.00
_cell_angle_gamma 90.00
loop_
_atom_site_label
_atom_site_type_symbol
_atom_site_fract_x
_atom_site_fract_y
_atom_site_fract_z
Pu1 Pu 0.000 0.000 0.000
In1 In 0.000 0.000 0.336
Bi1 Bi 0.000 0.000 0.656
N1 N 0.000 0.000 0.468
```

---

This entry pairs a crystal structure of Zn2CuIr with its calculated powder diffraction line list. Radiation: Cu Kα, 1.54184 Å. Structure: a structure optimized by DFT (PBE).
Neutral-atom scattering factors, no anomalous dispersion.

Main lines, by angle (15 to 90 degrees two-theta):
two_theta	I/Imax	index
20.51	234	0 0 1
21.30	200	1 0 0
24.56	153	1 0 -1
39.81	1000	1 1 -1
41.73	477	0 0 2
43.37	391	2 0 0
46.71	629	1 1 1
50.34	251	2 0 -2
69.91	200	1 1 -3
72.28	164	3 1 -1
79.58	139	0 2 2
80.72	121	2 2 0

Crystal structure
```
data_Zn2CuIr
_symmetry_space_group_name_H-M 'P 1 2/m 1'
_symmetry_Int_Tables_number 10
_symmetry_space_group_name_Hall '-P 2y'
_cell_length_a 4.394
_cell_length_b 2.899
_cell_length_c 4.559
_cell_angle_alpha 90.00
_cell_angle_beta 108.26
_cell_angle_gamma 90.00
loop_
_atom_site_label
_atom_site_type_symbol
_atom_site_fract_x
_atom_site_fract_y
_atom_site_fract_z
Zn1 Zn 0.000 0.000 0.000
Zn2 Zn 0.000 0.500 0.500
Cu1 Cu 0.500 0.000 0.500
Ir1 Ir 0.500 0.500 0.000
```

---

This entry pairs a crystal structure of AcTb8Y3 with its calculated powder diffraction line list. Radiation: Cu Kα, 1.54184 Å. Structure: a structure optimized by DFT (PBE).
Neutral-atom scattering factors, no anomalous dispersion.

Main lines, by angle (15 to 90 degrees two-theta):
two_theta	I/Imax	index
15.18	164	0 2 0
15.80	248	1 1 -1
31.11	1000	4 0 0
31.89	129	2 2 -2
32.01	291	0 0 2
34.48	164	2 4 0
35.61	430	0 2 2
51.36	146	5 3 -3
55.26	131	2 6 -2
55.39	116	7 3 -1
58.35	110	4 2 2
64.81	159	2 6 2

Crystal structure
```
data_AcTb8Y3
_symmetry_space_group_name_H-M 'C 1 2/m 1'
_symmetry_Int_Tables_number 12
_symmetry_space_group_name_Hall '-C 2y'
_cell_length_a 13.140
_cell_length_b 11.671
_cell_length_c 6.402
_cell_angle_alpha 90.00
_cell_angle_beta 119.08
_cell_angle_gamma 90.00
loop_
_atom_site_label
_atom_site_type_symbol
_atom_site_fract_x
_atom_site_fract_y
_atom_site_fract_z
Ac1 Ac 0.000 0.000 0.000
Tb1 Tb 0.000 0.265 0.242
Tb2 Tb 0.248 0.326 0.748
Y1 Y 0.000 0.500 0.500
Y2 Y 0.234 0.500 0.234
```

---

This entry pairs a crystal structure of Ca2TmSb3Pd4 with its calculated powder diffraction line list. Radiation: Cu Kα, 1.54184 Å. Structure: a structure optimized by DFT (PBE).
Neutral-atom scattering factors, no anomalous dispersion.

Main lines, by angle (15 to 90 degrees two-theta):
two_theta	I/Imax	index
15.33	446	0 0 2
21.28	477	1 0 1
30.61	268	1 0 3
32.24	1000	1 1 2
40.28	695	2 0 0
42.34	848	1 1 4
44.08	208	1 0 5
58.28	230	2 2 0
61.23	152	2 1 5
63.73	144	2 0 6
68.18	220	3 1 2
74.64	314	3 1 4

Crystal structure
```
data_Ca2TmSb3Pd4
_symmetry_space_group_name_H-M 'P -4 m 2'
_symmetry_Int_Tables_number 115
_symmetry_space_group_name_Hall 'P -4 -2'
_cell_length_a 4.478
_cell_length_b 4.478
_cell_length_c 11.560
_cell_angle_alpha 90.00
_cell_angle_beta 90.00
_cell_angle_gamma 90.00
loop_
_atom_site_label
_atom_site_type_symbol
_atom_site_fract_x
_atom_site_fract_y
_atom_site_fract_z
Ca1 Ca 0.000 0.500 0.219
Tm1 Tm 0.000 0.000 0.500
Sb1 Sb 0.000 0.500 0.869
Sb2 Sb 0.500 0.500 0.500
Pd1 Pd 0.000 0.000 0.000
Pd2 Pd 0.000 0.500 0.644
Pd3 Pd 0.500 0.500 0.000
```

---

This entry pairs a crystal structure of Ac8ZnRh4 with its calculated powder diffraction line list. Radiation: Cu Kα, 1.54184 Å. Structure: a structure optimized by DFT (PBE).
Neutral-atom scattering factors, no anomalous dispersion.

Main lines, by angle (15 to 90 degrees two-theta):
two_theta	I/Imax	index
25.80	352	4 0 -4
26.82	229	2 0 2
27.65	1000	3 1 0
28.33	680	3 1 -3
28.54	368	6 0 -2
32.46	428	3 1 1
34.16	242	5 1 -4
37.19	273	1 1 -4
39.13	300	7 1 -4
41.84	373	0 2 0
47.66	244	9 1 -5
51.38	312	9 1 -2

Crystal structure
```
data_Ac8ZnRh4
_symmetry_space_group_name_H-M 'C 1 2/m 1'
_symmetry_Int_Tables_number 12
_symmetry_space_group_name_Hall '-C 2y'
_cell_length_a 19.376
_cell_length_b 4.318
_cell_length_c 13.851
_cell_angle_alpha 90.00
_cell_angle_beta 131.25
_cell_angle_gamma 90.00
loop_
_atom_site_label
_atom_site_type_symbol
_atom_site_fract_x
_atom_site_fract_y
_atom_site_fract_z
Ac1 Ac 0.042 0.000 0.193
Ac2 Ac 0.107 0.500 0.761
Ac3 Ac 0.176 0.500 0.539
Ac4 Ac 0.179 0.500 0.106
Zn1 Zn 0.000 0.000 0.500
Rh1 Rh 0.174 0.000 0.952
Rh2 Rh 0.178 0.500 0.324
```

---

This entry pairs a crystal structure of Rb3Sm2NpTe6 with its calculated powder diffraction line list. Radiation: Cu Kα, 1.54184 Å. Structure: a structure optimized by DFT (PBE).
Neutral-atom scattering factors, no anomalous dispersion.

Main lines, by angle (15 to 90 degrees two-theta):
two_theta	I/Imax	index
26.28	1000	1 3 1
33.20	141	1 3 2
35.95	346	2 0 2
39.02	378	0 6 0
40.48	72	3 3 0
45.08	94	2 0 3
47.65	197	4 0 0
54.09	106	2 6 2
58.96	107	3 3 3
63.22	169	4 6 0
68.69	103	5 3 1
89.74	68	7 3 -1

Crystal structure
```
data_Rb3Sm2NpTe6
_symmetry_space_group_name_H-M 'C 1 2/m 1'
_symmetry_Int_Tables_number 12
_symmetry_space_group_name_Hall '-C 2y'
_cell_length_a 7.997
_cell_length_b 13.852
_cell_length_c 8.938
_cell_angle_alpha 90.00
_cell_angle_beta 107.35
_cell_angle_gamma 90.00
loop_
_atom_site_label
_atom_site_type_symbol
_atom_site_fract_x
_atom_site_fract_y
_atom_site_fract_z
Rb1 Rb 0.000 0.000 0.000
Rb2 Rb 0.000 0.333 0.000
Sm1 Sm 0.000 0.167 0.500
Np1 Np 0.000 0.500 0.500
Te1 Te 0.234 0.000 0.702
Te2 Te 0.234 0.333 0.702
```